Entry 1:
Starting from a PBE-relaxed structure, the powder diffractogram of TlGa2Au6 was simulated for Cu Kα X-rays.
Intensities are scaled so that the largest is 100.

The 10 most intense peaks (15° ≤ 2θ ≤ 90°), in order of rising 2θ:
| d [Å] | I (rel.) |
| --- | --- |
| 2.857 | 14.2 |
| 2.814 | 49.6 |
| 2.703 | 30.7 |
| 2.430 | 18.7 |
| 2.410 | 100.0 |
| 2.363 | 41.7 |
| 2.256 | 65.8 |
| 2.181 | 43.8 |
| 2.110 | 30.1 |
| 1.364 | 17.6 |

Structure:
Cell: 9.790 9.790 4.499 Å, 98.54 98.54 54.86°
Atoms (fractional coordinates):
1 Tl 0.135 0.865 0.750
2 Tl 0.865 0.135 0.250
3 Ga 0.182 0.507 0.861
4 Ga 0.493 0.818 0.639
5 Ga 0.507 0.182 0.361
6 Ga 0.818 0.493 0.139
7 Au 0.025 0.240 0.787
8 Au 0.148 0.365 0.336
9 Au 0.240 0.025 0.287
10 Au 0.331 0.534 0.413
11 Au 0.365 0.148 0.836
12 Au 0.466 0.669 0.087
13 Au 0.534 0.331 0.913
14 Au 0.635 0.852 0.164
15 Au 0.669 0.466 0.587
16 Au 0.760 0.975 0.713
17 Au 0.852 0.635 0.664
18 Au 0.975 0.760 0.213

Entry 2:
Starting from a PBE-relaxed structure, the powder diffractogram of Ac2Pr3NdN6 was simulated for Cu Kα X-rays.
Intensities are scaled so that the largest is 100.

The 10 most intense peaks (15° ≤ 2θ ≤ 90°), in order of rising 2θ:
| d [Å] | I (rel.) |
| --- | --- |
| 3.074 | 100.0 |
| 2.674 | 23.8 |
| 2.657 | 47.5 |
| 1.884 | 42.2 |
| 1.610 | 15.5 |
| 1.605 | 15.9 |
| 1.602 | 15.7 |
| 1.539 | 8.6 |
| 1.535 | 8.6 |
| 1.222 | 9.8 |

Structure:
Cell: 8.449 8.449 7.528 Å, 102.88 102.88 25.65°
Atoms (fractional coordinates):
1 Ac 0.166 0.166 0.328
2 Ac 0.834 0.834 0.672
3 Pr 0.161 0.161 0.833
4 Pr 0.500 0.500 0.500
5 Pr 0.839 0.839 0.167
6 Nd 0.500 0.500 0.000
7 N 0.002 0.002 0.753
8 N 0.339 0.339 0.409
9 N 0.340 0.340 0.926
10 N 0.660 0.660 0.074
11 N 0.661 0.661 0.591
12 N 0.998 0.998 0.247